[1]
This entry pairs a crystal structure of KTb2ReO8 with its calculated powder XRD pattern. Radiation: Cu Kα X-rays. Structure: a structure optimized by DFT (PBE).
Intensities are scaled so that the largest is 100.

Largest 10 diffraction maxima, in order of rising 2θ, 2θ from 5° to 70°:
2θ = 13.0°, I = 100, hkl 0 0 1; 2θ = 19.2°, I = 63, hkl 1 0 1; 2θ = 21.7°, I = 39, hkl 1 1 0; 2θ = 27.6°, I = 97, hkl 1 -1 0; 2θ = 28.2°, I = 36, hkl 1 1 -1; 2θ = 30.8°, I = 29, hkl 0 1 2; 2θ = 34.3°, I = 22, hkl 0 2 0; 2θ = 35.0°, I = 43, hkl 1 2 1; 2θ = 38.5°, I = 25, hkl 1 1 -2; 2θ = 44.2°, I = 18, hkl 0 1 -3

Structure:
```
KTb2ReO8
1.0
5.286 0.000 0.000
1.374 5.232 0.000
2.031 0.266 6.799
K Tb Re O
1 2 1 8
direct
0.000 0.000 0.000
0.344 0.441 0.315
0.656 0.559 0.685
0.000 0.000 0.500
0.074 0.263 0.619
0.235 0.085 0.263
0.301 0.745 0.555
0.358 0.549 0.988
0.642 0.451 0.012
0.699 0.255 0.445
0.765 0.915 0.737
0.926 0.737 0.381
```


[2]
This entry pairs a crystal structure of K3TbRe2O9 with its calculated powder XRD pattern. Radiation: Cu Kα X-rays. Structure: a structure optimized by DFT (PBE).
Intensities are scaled so that the largest is 100.

Largest 10 diffraction maxima, in order of rising 2θ, 2θ from 5° to 70°:
2θ = 21.7°, I = 100, hkl 1 0 1; 2θ = 30.8°, I = 74, hkl 0 1 2; 2θ = 31.0°, I = 72, hkl 1 1 0; 2θ = 44.2°, I = 46, hkl 2 0 2; 2θ = 49.6°, I = 22, hkl 1 1 3; 2θ = 49.9°, I = 22, hkl 2 1 1; 2θ = 54.5°, I = 14, hkl 1 0 4; 2θ = 55.0°, I = 29, hkl 1 2 2; 2θ = 55.1°, I = 14, hkl 3 0 0; 2θ = 64.6°, I = 14, hkl 2 2 0

Structure:
```
K3TbRe2O9
1.0
5.771 0.000 0.000
-2.886 4.998 0.000
0.000 0.000 7.149
K Tb Re O
3 1 2 9
direct
0.000 0.000 0.000
0.333 0.667 0.669
0.667 0.333 0.331
0.000 0.000 0.500
0.333 0.667 0.158
0.667 0.333 0.842
0.000 0.500 0.000
0.179 0.358 0.308
0.179 0.821 0.308
0.358 0.179 0.692
0.500 0.000 0.000
0.500 0.500 0.000
0.642 0.821 0.308
0.821 0.179 0.692
0.821 0.642 0.692
```


[3]
This entry pairs a crystal structure of KTl2ReO4 with its calculated powder XRD pattern. Radiation: Cu Kα X-rays. Structure: a structure optimized by DFT (PBE).
Intensities are scaled so that the largest is 100.

Largest 10 diffraction maxima, in order of rising 2θ, 2θ from 5° to 70°:
2θ = 17.8°, I = 21, hkl 1 0 1; 2θ = 27.7°, I = 50, hkl 2 0 0; 2θ = 30.0°, I = 100, hkl 1 1 2; 2θ = 33.1°, I = 10, hkl 1 2 1; 2θ = 39.5°, I = 26, hkl 2 2 0; 2θ = 50.4°, I = 46, hkl 1 3 2; 2θ = 54.5°, I = 18, hkl 2 0 4; 2θ = 62.3°, I = 13, hkl 2 2 4; 2θ = 64.7°, I = 11, hkl 2 4 0; 2θ = 65.9°, I = 13, hkl 3 3 2

Structure:
```
KTl2ReO4
1.0
6.446 0.000 0.000
0.000 6.446 0.000
0.000 0.000 7.889
K Tl Re O
2 4 2 8
direct
0.000 0.000 0.000
0.500 0.500 0.500
0.000 0.000 0.500
0.000 0.500 0.750
0.500 0.000 0.250
0.500 0.500 0.000
0.000 0.500 0.250
0.500 0.000 0.750
0.188 0.701 0.187
0.201 0.312 0.313
0.299 0.188 0.813
0.312 0.799 0.687
0.688 0.201 0.687
0.701 0.812 0.813
0.799 0.688 0.313
0.812 0.299 0.187
```


Which formula does entry 3 have? KTl2ReO4


Which formula does entry 3 have? KTl2ReO4


Which formula does entry 1 have? KTb2ReO8


Please write out number 2 again, unchanged.
This entry pairs a crystal structure of K3TbRe2O9 with its calculated powder XRD pattern. Radiation: Cu Kα X-rays. Structure: a structure optimized by DFT (PBE).
Intensities are scaled so that the largest is 100.

Largest 10 diffraction maxima, in order of rising 2θ, 2θ from 5° to 70°:
2θ = 21.7°, I = 100, hkl 1 0 1; 2θ = 30.8°, I = 74, hkl 0 1 2; 2θ = 31.0°, I = 72, hkl 1 1 0; 2θ = 44.2°, I = 46, hkl 2 0 2; 2θ = 49.6°, I = 22, hkl 1 1 3; 2θ = 49.9°, I = 22, hkl 2 1 1; 2θ = 54.5°, I = 14, hkl 1 0 4; 2θ = 55.0°, I = 29, hkl 1 2 2; 2θ = 55.1°, I = 14, hkl 3 0 0; 2θ = 64.6°, I = 14, hkl 2 2 0

Structure:
```
K3TbRe2O9
1.0
5.771 0.000 0.000
-2.886 4.998 0.000
0.000 0.000 7.149
K Tb Re O
3 1 2 9
direct
0.000 0.000 0.000
0.333 0.667 0.669
0.667 0.333 0.331
0.000 0.000 0.500
0.333 0.667 0.158
0.667 0.333 0.842
0.000 0.500 0.000
0.179 0.358 0.308
0.179 0.821 0.308
0.358 0.179 0.692
0.500 0.000 0.000
0.500 0.500 0.000
0.642 0.821 0.308
0.821 0.179 0.692
0.821 0.642 0.692
```